The following is a computed powder XRD pattern of Mg2Cd7. It was derived from the PBE geometry in Alexandria, using Cu Kα (λ = 1.5418 Å).

Main lines, low angle first (2θ from 10° to 90°):
12.25 deg, I = 14; 33.90 deg, I = 100; 37.34 deg, I = 24; 40.39 deg, I = 60; 56.06 deg, I = 21; 60.76 deg, I = 18; 67.15 deg, I = 13; 69.30 deg, I = 22; 71.33 deg, I = 10; 73.54 deg, I = 9

abc: 5.683 5.683 7.224
angles: 90.00 90.00 120.00
Fractional positions:
1 Mg 0.333 0.667 0.000
2 Mg 0.667 0.333 0.000
3 Cd 0.000 0.000 0.000
4 Cd 0.000 0.335 0.669
5 Cd 0.000 0.665 0.331
6 Cd 0.335 0.000 0.669
7 Cd 0.335 0.335 0.331
8 Cd 0.665 0.000 0.331
9 Cd 0.665 0.665 0.669



The following is a computed powder XRD pattern of MgCd2. It was derived from the PBE geometry in Alexandria, using Cu Kα (λ = 1.5418 Å).

Main lines, low angle first (2θ from 10° to 90°):
11.03 deg, I = 16; 17.76 deg, I = 23; 31.78 deg, I = 32; 35.97 deg, I = 34; 36.64 deg, I = 100; 38.19 deg, I = 44; 48.75 deg, I = 19; 58.85 deg, I = 15; 65.10 deg, I = 17; 70.93 deg, I = 17

abc: 4.994 8.188 8.188
angles: 23.34 90.00 90.00
Fractional positions:
1 Mg 0.000 0.000 0.000
2 Mg 0.000 0.330 0.330
3 Cd 0.000 0.667 0.667
4 Cd 0.500 0.111 0.111
5 Cd 0.500 0.444 0.444
6 Cd 0.500 0.779 0.779



The following is a computed powder XRD pattern of Mg3Cd. It was derived from the PBE geometry in Alexandria, using Cu Kα (λ = 1.5418 Å).

Main lines, low angle first (2θ from 10° to 90°):
21.58 deg, I = 48; 22.43 deg, I = 52; 23.80 deg, I = 36; 32.97 deg, I = 21; 35.04 deg, I = 39; 37.28 deg, I = 46; 37.47 deg, I = 100; 41.52 deg, I = 17; 64.48 deg, I = 24; 70.14 deg, I = 18

abc: 5.122 6.260 5.469
angles: 90.00 90.00 90.00
Fractional positions:
1 Mg 0.250 0.001 0.167
2 Mg 0.250 0.250 0.655
3 Mg 0.250 0.499 0.167
4 Mg 0.750 0.501 0.833
5 Mg 0.750 0.750 0.345
6 Mg 0.750 0.999 0.833
7 Cd 0.250 0.750 0.676
8 Cd 0.750 0.250 0.324



The following is a computed powder XRD pattern of Mg2Cd3. It was derived from the PBE geometry in Alexandria, using Cu Kα (λ = 1.5418 Å).

Main lines, low angle first (2θ from 10° to 90°):
26.62 deg, I = 44; 28.45 deg, I = 100; 29.20 deg, I = 54; 30.74 deg, I = 94; 33.70 deg, I = 66; 36.00 deg, I = 48; 37.58 deg, I = 48; 40.27 deg, I = 52; 42.15 deg, I = 64; 44.40 deg, I = 52

abc: 10.301 7.276 12.400
angles: 56.12 35.90 87.97
Fractional positions:
1 Mg 0.206 0.794 0.365
2 Mg 0.615 0.885 0.456
3 Mg 0.794 0.206 0.635
4 Mg 0.885 0.615 0.044
5 Cd 0.193 0.298 0.515
6 Cd 0.248 0.248 0.752
7 Cd 0.256 0.735 0.952
8 Cd 0.298 0.193 0.994
9 Cd 0.498 0.498 0.002
10 Cd 0.735 0.256 0.057



The following is a computed powder XRD pattern of Mg3Cd. It was derived from the PBE geometry in Alexandria, using Cu Kα (λ = 1.5418 Å).

Main lines, low angle first (2θ from 10° to 90°):
16.45 deg, I = 72; 23.55 deg, I = 64; 32.97 deg, I = 16; 33.29 deg, I = 53; 34.01 deg, I = 41; 37.23 deg, I = 40; 37.49 deg, I = 100; 37.99 deg, I = 20; 63.17 deg, I = 20; 69.94 deg, I = 18

abc: 6.257 6.257 5.272
angles: 90.00 90.00 120.56
Fractional positions:
1 Mg 0.084 0.916 0.750
2 Mg 0.087 0.414 0.750
3 Mg 0.414 0.087 0.250
4 Mg 0.586 0.913 0.750
5 Mg 0.913 0.586 0.250
6 Mg 0.916 0.084 0.250
7 Cd 0.410 0.590 0.250
8 Cd 0.590 0.410 0.750



The following is a computed powder XRD pattern of Mg3Cd. It was derived from the PBE geometry in Alexandria, using Cu Kα (λ = 1.5418 Å).

Main lines, low angle first (2θ from 10° to 90°):
20.24 deg, I = 39; 20.94 deg, I = 32; 23.29 deg, I = 100; 36.70 deg, I = 80; 37.34 deg, I = 92; 42.26 deg, I = 38; 43.92 deg, I = 21; 53.35 deg, I = 27; 58.53 deg, I = 18; 66.50 deg, I = 24

abc: 8.483 8.483 8.777
angles: 90.00 90.00 120.00
Fractional positions:
1 Mg 0.000 0.000 0.082
2 Mg 0.000 0.000 0.582
3 Mg 0.000 0.282 0.337
4 Mg 0.000 0.372 0.000
5 Mg 0.000 0.628 0.500
6 Mg 0.000 0.718 0.837
7 Mg 0.282 0.000 0.337
8 Mg 0.282 0.282 0.837
9 Mg 0.333 0.667 0.246
10 Mg 0.333 0.667 0.746
11 Mg 0.372 0.000 0.000
12 Mg 0.372 0.372 0.500
13 Mg 0.628 0.000 0.500
14 Mg 0.628 0.628 0.000
15 Mg 0.667 0.333 0.246
16 Mg 0.667 0.333 0.746
17 Mg 0.718 0.000 0.837
18 Mg 0.718 0.718 0.337
19 Cd 0.000 0.331 0.667
20 Cd 0.000 0.669 0.167
21 Cd 0.331 0.000 0.667
22 Cd 0.331 0.331 0.167
23 Cd 0.669 0.000 0.167
24 Cd 0.669 0.669 0.667